Record 1
Sr2SnH12Rh3: calculated PXRD pattern (Cu Kα (λ = 1.5418 Å)), based on the GGA-PBE geometry in Alexandria.

Cell and atoms:
Unit cell a=6.417 b=6.417 c=6.417 alpha=60.41 beta=60.41 gamma=60.41
Positions (direct):
Sr  0.111  0.111  0.111
Sr  0.889  0.889  0.889
Sn  0.500  0.500  0.500
H  0.066  0.627  0.627
H  0.198  0.198  0.629
H  0.198  0.629  0.198
H  0.371  0.802  0.802
H  0.373  0.373  0.934
H  0.373  0.934  0.373
H  0.627  0.066  0.627
H  0.627  0.627  0.066
H  0.629  0.198  0.198
H  0.802  0.371  0.802
H  0.802  0.802  0.371
H  0.934  0.373  0.373
Rh  0.000  0.500  0.500
Rh  0.500  0.000  0.500
Rh  0.500  0.500  0.000

Peak list (10 most intense, 15 to 90 degrees two-theta, by angle)
16.83°, I = 14; 27.63°, I = 17; 32.58°, I = 100; 32.76°, I = 48; 34.05°, I = 62; 52.10°, I = 17; 52.20°, I = 25; 57.05°, I = 25; 57.44°, I = 20; 80.93°, I = 17



Record 2
ErCuGe2Pd: calculated PXRD pattern (Cu Kα (λ = 1.5418 Å)), based on the GGA-PBE geometry in Alexandria.

Cell and atoms:
Unit cell a=5.970 b=5.970 c=5.970 alpha=139.65 beta=139.65 gamma=58.38
Positions (direct):
Er  0.000  0.000  0.000
Cu  0.250  0.750  0.500
Ge  0.383  0.383  0.000
Ge  0.617  0.617  0.000
Pd  0.750  0.250  0.500

Peak list (10 most intense, 15 to 90 degrees two-theta, by angle)
33.75°, I = 58; 35.31°, I = 100; 43.98°, I = 51; 48.97°, I = 27; 56.56°, I = 26; 62.23°, I = 13; 63.95°, I = 16; 67.91°, I = 20; 75.21°, I = 21; 88.88°, I = 13



Record 3
Rb2PdBr2F4: calculated PXRD pattern (Cu Kα (λ = 1.5418 Å)), based on the GGA-PBE geometry in Alexandria.

Cell and atoms:
Unit cell a=6.496 b=6.496 c=6.496 alpha=114.35 beta=114.35 gamma=100.10
Positions (direct):
Rb  0.250  0.750  0.500
Rb  0.750  0.250  0.500
Pd  0.000  0.000  0.000
Br  0.299  0.299  0.000
Br  0.701  0.701  0.000
F  0.198  0.198  0.396
F  0.198  0.802  0.000
F  0.802  0.198  0.000
F  0.802  0.802  0.604

Peak list (10 most intense, 15 to 90 degrees two-theta, by angle)
16.47°, I = 28; 25.29°, I = 100; 27.90°, I = 26; 33.30°, I = 46; 34.68°, I = 42; 36.07°, I = 66; 43.40°, I = 44; 57.67°, I = 41; 58.62°, I = 24; 75.69°, I = 24